No. 1
For Ce4CI6N, DFT lattice parameters and positions (GGA-PBE) gives the theoretical PXRD pattern in this record (Cu Ka).
Kinematic intensities with the Lorentz-polarization factor, no thermal factor.

Cell and atoms:
Cell: 14.089 14.089 9.616 Å, 90.00 90.00 90.00°
Atoms (fractional coordinates):
Ce1 0.087 0.087 0.191
Ce2 0.087 0.087 0.809
Ce3 0.090 0.910 0.500
Ce4 0.152 0.848 0.000
Ce5 0.348 0.348 0.500
Ce6 0.410 0.410 0.000
Ce7 0.413 0.587 0.309
Ce8 0.413 0.587 0.691
Ce9 0.587 0.413 0.309
Ce10 0.587 0.413 0.691
Ce11 0.590 0.590 0.000
Ce12 0.652 0.652 0.500
Ce13 0.848 0.152 0.000
Ce14 0.910 0.090 0.500
Ce15 0.913 0.913 0.191
Ce16 0.913 0.913 0.809
C1 0.036 0.964 0.000
C2 0.464 0.464 0.500
C3 0.536 0.536 0.500
C4 0.964 0.036 0.000
I1 0.049 0.736 0.248
I2 0.049 0.736 0.752
I3 0.171 0.171 0.500
I4 0.219 0.219 0.000
I5 0.236 0.451 0.252
I6 0.236 0.451 0.748
I7 0.264 0.951 0.248
I8 0.264 0.951 0.752
I9 0.281 0.719 0.500
I10 0.329 0.671 0.000
I11 0.451 0.236 0.252
I12 0.451 0.236 0.748
I13 0.549 0.764 0.252
I14 0.549 0.764 0.748
I15 0.671 0.329 0.000
I16 0.719 0.281 0.500
I17 0.736 0.049 0.248
I18 0.736 0.049 0.752
I19 0.764 0.549 0.252
I20 0.764 0.549 0.748
I21 0.781 0.781 0.000
I22 0.829 0.829 0.500
I23 0.951 0.264 0.248
I24 0.951 0.264 0.752
N1 0.000 0.000 0.348
N2 0.000 0.000 0.652
N3 0.500 0.500 0.152
N4 0.500 0.500 0.848

Top 10 peaks for 2θ = 10–90°, in order of falling intensity:
| h k l | Position (°2θ) | I (rel.) |
| --- | --- | --- |
| 3 2 2 | 29.46 | 1000 |
| 2 2 2 | 25.75 | 663 |
| 4 2 1 | 29.84 | 294 |
| 0 0 4 | 37.41 | 225 |
| 4 1 0 | 26.08 | 215 |
| 5 1 1 | 33.75 | 207 |
| 6 1 2 | 43.36 | 188 |
| 4 3 2 | 36.98 | 186 |
| 4 3 0 | 31.76 | 184 |
| 4 1 4 | 46.17 | 176 |

=====

No. 2
For CaTiAs2O7, DFT lattice parameters and positions (GGA-PBE) gives the theoretical PXRD pattern in this record (Cu Ka).
Kinematic intensities with the Lorentz-polarization factor, no thermal factor.

Cell and atoms:
Cell: 8.196 8.612 10.646 Å, 90.00 119.37 90.00°
Atoms (fractional coordinates):
Ca1 0.239 0.070 0.095
Ca2 0.239 0.430 0.595
Ca3 0.761 0.570 0.405
Ca4 0.761 0.930 0.905
Ti1 0.304 0.061 0.718
Ti2 0.304 0.439 0.218
Ti3 0.696 0.561 0.782
Ti4 0.696 0.939 0.282
As1 0.048 0.739 0.746
As2 0.048 0.761 0.246
As3 0.449 0.683 0.040
As4 0.449 0.817 0.540
As5 0.551 0.183 0.460
As6 0.551 0.317 0.960
As7 0.952 0.239 0.754
As8 0.952 0.261 0.254
O1 0.054 0.610 0.627
O2 0.054 0.890 0.127
O3 0.130 0.581 0.235
O4 0.130 0.919 0.735
O5 0.168 0.250 0.267
O6 0.168 0.250 0.767
O7 0.187 0.682 0.928
O8 0.187 0.818 0.428
O9 0.265 0.171 0.573
O10 0.265 0.329 0.073
O11 0.459 0.599 0.198
O12 0.459 0.901 0.698
O13 0.474 0.619 0.604
O14 0.474 0.881 0.104
O15 0.526 0.119 0.896
O16 0.526 0.381 0.396
O17 0.541 0.099 0.302
O18 0.541 0.401 0.802
O19 0.735 0.671 0.927
O20 0.735 0.829 0.427
O21 0.813 0.182 0.572
O22 0.813 0.318 0.072
O23 0.832 0.750 0.233
O24 0.832 0.750 0.733
O25 0.870 0.081 0.265
O26 0.870 0.419 0.765
O27 0.946 0.110 0.873
O28 0.946 0.390 0.373

Top 10 peaks for 2θ = 10–90°, in order of falling intensity:
| h k l | Position (°2θ) | I (rel.) |
| --- | --- | --- |
| 2 1 -2 | 25.05 | 1000 |
| 1 2 -2 | 26.80 | 805 |
| 1 0 2 | 27.59 | 603 |
| 2 2 0 | 32.61 | 472 |
| 3 1 0 | 39.26 | 327 |
| 1 1 1 | 21.69 | 243 |
| 0 2 0 | 20.63 | 197 |
| 1 1 -3 | 27.23 | 172 |
| 4 3 -2 | 55.36 | 160 |
| 2 4 -3 | 50.83 | 141 |